1.
This entry pairs a crystal structure of Er7IrI12 with its simulated XRD peak list. Radiation: Cu Ka. Structure: a DFT-relaxed cell (GGA-PBE, the Materials Project).
Intensities are scaled so that the largest is 100.

Peak list (6 most intense, 10° ≤ 2θ ≤ 90°, sorted by position)
two_theta, intensity
10.39, 20
11.29, 41
28.79, 100
40.80, 35
41.54, 35
51.33, 17

Atomic structure:
abc: 9.7568 9.7568 9.7568
angles: 106.90 106.90 106.90
Element x y z (fractional)
Er 0.0000 0.0000 0.0000
Er 0.2059 0.4067 0.4769
Er 0.4067 0.4769 0.2059
Er 0.4769 0.2059 0.4067
Er 0.5231 0.7941 0.5933
Er 0.5933 0.5231 0.7941
Er 0.7941 0.5933 0.5231
Ir 0.5000 0.5000 0.5000
I 0.0346 0.3365 0.1111
I 0.1111 0.0346 0.3365
I 0.1746 0.7246 0.5697
I 0.2754 0.4303 0.8254
I 0.3365 0.1111 0.0346
I 0.4303 0.8254 0.2754
I 0.5697 0.1746 0.7246
I 0.6635 0.8889 0.9654
I 0.7246 0.5697 0.1746
I 0.8254 0.2754 0.4303
I 0.8889 0.9654 0.6635
I 0.9654 0.6635 0.8889

---

2.
This entry pairs a crystal structure of Er2I2O with its simulated XRD peak list. Radiation: Cu Ka. Structure: a DFT-relaxed cell (GGA-PBE, the Materials Project).
Intensities are scaled so that the largest is 100.

Peak list (6 most intense, 10° ≤ 2θ ≤ 90°, sorted by position)
two_theta, intensity
21.09, 100
25.65, 19
30.00, 41
33.44, 38
39.87, 24
48.31, 22

Atomic structure:
abc: 4.2123 4.2123 13.8908
angles: 90.00 90.00 90.00
Element x y z (fractional)
Er 0.0000 0.0000 0.1462
Er 0.0000 0.0000 0.8538
I 0.0000 0.0000 0.3495
I 0.0000 0.0000 0.6505
O 0.0000 0.0000 0.0000

---

3.
This entry pairs a crystal structure of ErIO9 with its simulated XRD peak list. Radiation: Cu Ka. Structure: a DFT-relaxed cell (GGA-PBE, the Materials Project).
Intensities are scaled so that the largest is 100.

Peak list (6 most intense, 10° ≤ 2θ ≤ 90°, sorted by position)
two_theta, intensity
15.83, 79
20.34, 100
21.07, 55
29.95, 69
33.14, 47
43.75, 34

Atomic structure:
abc: 6.4924 11.1003 10.5997
angles: 90.00 124.54 90.00
Element x y z (fractional)
Er 0.2294 0.0832 0.1930
Er 0.2294 0.4168 0.6930
Er 0.7706 0.5832 0.3070
Er 0.7706 0.9168 0.8070
I 0.0218 0.1729 0.7629
I 0.0218 0.3271 0.2629
I 0.9782 0.6729 0.7371
I 0.9782 0.8271 0.2371
O 0.0478 0.7381 0.4074
O 0.0478 0.7619 0.9074
O 0.0781 0.0734 0.9312
O 0.0781 0.4266 0.4312
O 0.2340 0.5573 0.8527
O 0.2340 0.9427 0.3527
O 0.2395 0.6966 0.2370
O 0.2395 0.8034 0.7370
O 0.2731 0.2168 0.3842
O 0.2731 0.2832 0.8842
O 0.2846 0.0586 0.7354
O 0.2846 0.4414 0.2354
O 0.3576 0.5781 0.0868
O 0.3576 0.9219 0.5868
O 0.4714 0.7286 0.3050
O 0.4714 0.7714 0.8050
O 0.4820 0.5647 0.6506
O 0.4820 0.9353 0.1506
O 0.5180 0.0647 0.8494
O 0.5180 0.4353 0.3494
O 0.5286 0.2286 0.1950
O 0.5286 0.2714 0.6950
O 0.6424 0.0781 0.4132
O 0.6424 0.4219 0.9132
O 0.7154 0.5586 0.7646
O 0.7154 0.9414 0.2646
O 0.7269 0.7168 0.1158
O 0.7269 0.7832 0.6158
O 0.7605 0.1966 0.2630
O 0.7605 0.3034 0.7630
O 0.7660 0.0573 0.6473
O 0.7660 0.4427 0.1473
O 0.9219 0.5734 0.5688
O 0.9219 0.9266 0.0688
O 0.9522 0.2381 0.0925
O 0.9522 0.2619 0.5926

---

4.
This entry pairs a crystal structure of ErI3O10 with its simulated XRD peak list. Radiation: Cu Ka. Structure: a DFT-relaxed cell (GGA-PBE, the Materials Project).
Intensities are scaled so that the largest is 100.

Peak list (6 most intense, 10° ≤ 2θ ≤ 90°, sorted by position)
two_theta, intensity
12.47, 39
26.12, 43
27.10, 100
28.17, 44
31.51, 29
44.24, 27

Atomic structure:
abc: 7.2555 10.2245 12.9534
angles: 90.00 102.06 90.00
Element x y z (fractional)
Er 0.1427 0.1901 0.1370
Er 0.1427 0.3099 0.6370
Er 0.8573 0.6901 0.3630
Er 0.8573 0.8099 0.8630
I 0.1589 0.6748 0.6333
I 0.1589 0.8252 0.1333
I 0.1777 0.5117 0.9354
I 0.1777 0.9883 0.4354
I 0.3455 0.1046 0.8840
I 0.3455 0.3954 0.3840
I 0.6545 0.6046 0.6160
I 0.6545 0.8954 0.1160
I 0.8223 0.0117 0.5646
I 0.8223 0.4883 0.0646
I 0.8411 0.1748 0.8667
I 0.8411 0.3252 0.3667
O 0.0299 0.1194 0.5304
O 0.0299 0.3806 0.0304
O 0.0956 0.5143 0.6868
O 0.0956 0.9857 0.1868
O 0.1043 0.6232 0.4913
O 0.1043 0.8768 0.9913
O 0.1319 0.7423 0.8055
O 0.1319 0.7577 0.3055
O 0.2174 0.2450 0.3216
O 0.2174 0.2550 0.8216
O 0.2718 0.6822 0.8861
O 0.2718 0.8178 0.3861
O 0.3240 0.1539 0.0228
O 0.3240 0.3461 0.5228
O 0.3649 0.0962 0.7068
O 0.3649 0.4038 0.2068
O 0.4747 0.5131 0.1881
O 0.4747 0.9869 0.6881
O 0.4862 0.0901 0.2262
O 0.4862 0.4098 0.7262
O 0.5138 0.5901 0.2738
O 0.5138 0.9098 0.7738
O 0.5253 0.0131 0.3119
O 0.5253 0.4869 0.8119
O 0.6351 0.5962 0.7932
O 0.6351 0.9038 0.2932
O 0.6760 0.6539 0.4772
O 0.6760 0.8461 0.9772
O 0.7282 0.1822 0.6139
O 0.7282 0.3178 0.1139
O 0.7826 0.7450 0.1784
O 0.7826 0.7550 0.6784
O 0.8681 0.2423 0.6945
O 0.8681 0.2577 0.1945
O 0.8957 0.1232 0.0087
O 0.8957 0.3768 0.5087
O 0.9044 0.0143 0.8132
O 0.9044 0.4857 0.3132
O 0.9701 0.6194 0.9696
O 0.9701 0.8806 0.4696

---

5.
This entry pairs a crystal structure of Er3RuI3 with its simulated XRD peak list. Radiation: Cu Ka. Structure: a DFT-relaxed cell (GGA-PBE, the Materials Project).
Intensities are scaled so that the largest is 100.

Peak list (6 most intense, 10° ≤ 2θ ≤ 90°, sorted by position)
two_theta, intensity
10.02, 28
29.41, 100
30.73, 18
40.85, 30
43.23, 26
53.15, 12

Atomic structure:
abc: 8.8600 4.1879 12.1757
angles: 90.00 94.62 90.00
Element x y z (fractional)
Er 0.1110 0.2500 0.3155
Er 0.1190 0.2500 0.8759
Er 0.2729 0.7500 0.1069
Er 0.7271 0.2500 0.8931
Er 0.8810 0.7500 0.1241
Er 0.8890 0.7500 0.6845
Ru 0.0670 0.2500 0.0948
Ru 0.9330 0.7500 0.9052
I 0.1334 0.2500 0.6117
I 0.3621 0.7500 0.3722
I 0.4157 0.7500 0.8658
I 0.5843 0.2500 0.1342
I 0.6379 0.2500 0.6278
I 0.8666 0.7500 0.3883

---

6.
This entry pairs a crystal structure of Er5In3 with its simulated XRD peak list. Radiation: Cu Ka. Structure: a DFT-relaxed cell (GGA-PBE, the Materials Project).
Intensities are scaled so that the largest is 100.

Peak list (6 most intense, 10° ≤ 2θ ≤ 90°, sorted by position)
two_theta, intensity
30.45, 33
33.39, 100
33.65, 91
34.65, 50
49.07, 22
51.82, 29

Atomic structure:
abc: 8.9685 8.9685 6.6222
angles: 90.00 90.00 120.00
Element x y z (fractional)
Er 0.0000 0.2497 0.2500
Er 0.0000 0.7503 0.7500
Er 0.2497 0.0000 0.2500
Er 0.2497 0.2497 0.7500
Er 0.3333 0.6667 0.0000
Er 0.3333 0.6667 0.5000
Er 0.6667 0.3333 0.0000
Er 0.6667 0.3333 0.5000
Er 0.7503 0.0000 0.7500
Er 0.7503 0.7503 0.2500
In 0.0000 0.3936 0.7500
In 0.0000 0.6064 0.2500
In 0.3936 0.0000 0.7500
In 0.3936 0.3936 0.2500
In 0.6064 0.0000 0.2500
In 0.6064 0.6064 0.7500

---

7.
This entry pairs a crystal structure of Er3In with its simulated XRD peak list. Radiation: Cu Ka. Structure: a DFT-relaxed cell (GGA-PBE, the Materials Project).
Intensities are scaled so that the largest is 100.

Peak list (6 most intense, 10° ≤ 2θ ≤ 90°, sorted by position)
two_theta, intensity
32.30, 100
37.47, 50
54.03, 35
64.37, 41
67.60, 12
88.86, 18

Atomic structure:
abc: 4.8004 4.8004 4.8004
angles: 90.00 90.00 90.00
Element x y z (fractional)
Er 0.0000 0.0000 0.5000
Er 0.0000 0.5000 0.0000
Er 0.5000 0.0000 0.0000
In 0.5000 0.5000 0.5000

---

8.
This entry pairs a crystal structure of Er3In5 with its simulated XRD peak list. Radiation: Cu Ka. Structure: a DFT-relaxed cell (GGA-PBE, the Materials Project).
Intensities are scaled so that the largest is 100.

Peak list (6 most intense, 10° ≤ 2θ ≤ 90°, sorted by position)
two_theta, intensity
33.53, 100
34.04, 24
34.71, 69
36.17, 26
38.92, 22
39.37, 21

Atomic structure:
abc: 6.3854 6.3854 10.3406
angles: 90.00 90.00 77.89
Element x y z (fractional)
Er 0.1285 0.8715 0.7500
Er 0.2969 0.2969 0.0000
Er 0.2969 0.2969 0.5000
Er 0.7031 0.7031 0.0000
Er 0.7031 0.7031 0.5000
Er 0.8715 0.1285 0.2500
In 0.0076 0.4307 0.7500
In 0.1895 0.8105 0.0465
In 0.1895 0.8105 0.4535
In 0.4307 0.0076 0.2500
In 0.4872 0.5128 0.2500
In 0.5128 0.4872 0.7500
In 0.5693 0.9924 0.7500
In 0.8105 0.1895 0.5465
In 0.8105 0.1895 0.9535
In 0.9924 0.5693 0.2500